[1]
This entry pairs a crystal structure of TaNi12B5 with its simulated powder X-ray diffraction pattern. Radiation: copper Kα. Structure: DFT lattice parameters and positions (PBE).

Principal peaks in the range 2θ from 5° to 70°, by intensity:
44.55°, intensity 100; 46.52°, intensity 66; 48.69°, intensity 60; 17.48°, intensity 57; 41.92°, intensity 53; 41.67°, intensity 50

Crystal structure
Cell: 6.7813 6.8195 7.6292 Å, 90.00 90.00 90.00°
Space group Immm (No. 71)
Symmetry-distinct sites (fractional):
Ta 0.0000 0.0000 0.0000 [2 per cell]
Ni 0.0000 0.3158 0.1770 [8 per cell]
Ni 0.1834 0.0000 0.2804 [8 per cell]
Ni 0.1846 0.2856 0.5000 [8 per cell]
B 0.0000 0.0000 0.5000 [2 per cell]
B 0.0000 0.5000 0.3852 [4 per cell]
B 0.1425 0.5000 0.0000 [4 per cell]



[2]
This entry pairs a crystal structure of La3Pr3Nd5 with its simulated powder X-ray diffraction pattern. Radiation: copper Kα. Structure: DFT lattice parameters and positions (PBE).

Principal peaks in the range 2θ from 5° to 70°, by intensity:
35.52°, intensity 100; 31.69°, intensity 86; 26.29°, intensity 71; 15.70°, intensity 55; 27.84°, intensity 47; 10.43°, intensity 41

Crystal structure
Cell: 9.7910 9.7910 5.6427 Å, 90.00 90.00 120.00°
Space group P-62m (No. 189)
Symmetry-distinct sites (fractional):
La 0.0000 0.6360 0.0000 [3 per cell]
Pr 0.0000 0.5079 0.5000 [3 per cell]
Nd 0.0000 0.2734 0.0000 [3 per cell]
Nd 0.3333 0.6667 0.0000 [2 per cell]



[3]
This entry pairs a crystal structure of SrZn2Au5 with its simulated powder X-ray diffraction pattern. Radiation: copper Kα. Structure: DFT lattice parameters and positions (PBE).

Principal peaks in the range 2θ from 5° to 70°, by intensity:
32.99°, intensity 100; 33.47°, intensity 99; 41.56°, intensity 59; 14.54°, intensity 53; 42.62°, intensity 44; 61.70°, intensity 39

Crystal structure
Cell: 4.1642 7.3950 10.7434 Å, 90.00 90.00 90.00°
Space group Immm (No. 71)
Symmetry-distinct sites (fractional):
Sr 0.0000 0.0000 0.0000 [2 per cell]
Zn 0.0000 0.5000 0.2449 [4 per cell]
Au 0.0000 0.1989 0.3599 [8 per cell]
Au 0.0000 0.5000 0.0000 [2 per cell]



[4]
This entry pairs a crystal structure of Na3GeSb4 with its simulated powder X-ray diffraction pattern. Radiation: copper Kα. Structure: DFT lattice parameters and positions (PBE).

Principal peaks in the range 2θ from 5° to 70°, by intensity:
17.74°, intensity 100; 30.21°, intensity 88; 33.12°, intensity 82; 19.20°, intensity 76; 40.97°, intensity 61; 37.94°, intensity 43

Crystal structure
Cell: 5.9338 9.3654 9.2433 Å, 90.00 90.00 90.00°
Space group Imm2 (No. 44)
Symmetry-distinct sites (fractional):
Na 0.0000 0.0000 0.0000 [2 per cell]
Na 0.0000 0.2251 0.3428 [4 per cell]
Ge 0.0000 0.5000 0.9115 [2 per cell]
Sb 0.0000 0.3288 0.6707 [4 per cell]
Sb 0.2418 0.0000 0.6654 [4 per cell]



[5]
This entry pairs a crystal structure of CrPbS2 with its simulated powder X-ray diffraction pattern. Radiation: copper Kα. Structure: DFT lattice parameters and positions (PBE).

Principal peaks in the range 2θ from 5° to 70°, by intensity:
33.29°, intensity 100; 31.62°, intensity 88; 20.33°, intensity 74; 10.12°, intensity 66; 44.58°, intensity 49; 44.72°, intensity 49

Crystal structure
Cell: 5.6551 3.2689 8.7375 Å, 90.00 90.26 90.00°
Space group Cm (No. 8)
Symmetry-distinct sites (fractional):
Cr 0.0000 0.0000 0.0000 [2 per cell]
Pb 0.1651 0.5000 0.4999 [2 per cell]
S 0.1654 0.5000 0.8425 [2 per cell]
S 0.1678 0.5000 0.1575 [2 per cell]



[6]
This entry pairs a crystal structure of Ho4Te2Pb with its simulated powder X-ray diffraction pattern. Radiation: copper Kα. Structure: DFT lattice parameters and positions (PBE).

Principal peaks in the range 2θ from 5° to 70°, by intensity:
30.10°, intensity 100; 35.30°, intensity 85; 35.12°, intensity 81; 29.56°, intensity 55; 26.33°, intensity 32; 40.00°, intensity 26

Crystal structure
Cell: 9.5748 9.5748 9.3687 Å, 90.00 90.00 90.00°
Space group I4_122 (No. 98)
Symmetry-distinct sites (fractional):
Ho 0.0478 0.1914 0.3109 [16 per cell]
Te 0.0454 0.7500 0.6250 [8 per cell]
Pb 0.0000 0.0000 0.0000 [4 per cell]



[7]
This entry pairs a crystal structure of Nd2Ag2Pd3 with its simulated powder X-ray diffraction pattern. Radiation: copper Kα. Structure: DFT lattice parameters and positions (PBE).

Principal peaks in the range 2θ from 5° to 70°, by intensity:
37.17°, intensity 100; 34.00°, intensity 97; 38.16°, intensity 66; 41.06°, intensity 64; 38.03°, intensity 48; 35.08°, intensity 45

Crystal structure
Cell: 9.9880 4.3969 7.1599 Å, 90.00 109.14 90.00°
Space group C2/m (No. 12)
Symmetry-distinct sites (fractional):
Nd 0.1313 0.0000 0.2787 [4 per cell]
Ag 0.1227 0.5000 0.9326 [4 per cell]
Pd 0.0000 0.5000 0.5000 [2 per cell]
Pd 0.1574 0.0000 0.7002 [4 per cell]